1.
Starting from a PBE-relaxed structure, the X-ray powder pattern of Th2FeSe5 was computed for Cu Ka.
Kinematic intensities with the Lorentz-polarization factor, no thermal factor.

Most intense lines, 10 to 90 degrees two-theta, by angle:
2θ (°)	Rel. int.
19.07	74.9
23.65	79.4
31.93	26.6
35.27	100.0
35.86	23.6
38.09	53.5
39.69	31.6
45.16	31.4
51.47	25.6
62.94	27.7

```
data_Th2FeSe5
_chemical_formula_sum 'Th8 Fe4 Se20'
_space_group_name_H-M_alt 'C 1 2/c 1'
_space_group_IT_number 15
_cell_length_a 15.668
_cell_length_b 6.715
_cell_length_c 7.576
_cell_angle_alpha 90.00
_cell_angle_beta 97.23
_cell_angle_gamma 90.00
loop_
_space_group_symop_operation_xyz
'x,y,z'
'-x,-y,-z'
'-x,y,-z+1/2'
'x,-y,z+1/2'
'x+1/2,y+1/2,z'
'-x+1/2,-y+1/2,-z'
'-x+1/2,y+1/2,-z+1/2'
'x+1/2,-y+1/2,z+1/2'
loop_
_atom_site_label
_atom_site_type_symbol
_atom_site_fract_x
_atom_site_fract_y
_atom_site_fract_z
Th1 Th 0.107 0.217 0.081
Fe1 Fe 0.250 0.250 0.500
Se1 Se 0.000 0.081 0.750
Se2 Se 0.090 0.379 0.430
Se3 Se 0.221 0.080 0.812
```

=====

2.
Starting from a PBE-relaxed structure, the X-ray powder pattern of Ti4FeSe8 was computed for Cu Ka.
Kinematic intensities with the Lorentz-polarization factor, no thermal factor.

Most intense lines, 10 to 90 degrees two-theta, by angle:
2θ (°)	Rel. int.
29.72	10.4
32.66	100.0
32.77	8.6
41.92	28.4
42.09	24.0
51.39	34.5
54.54	12.2
54.75	10.2
62.19	12.1
84.79	9.2

```
data_Ti4FeSe8
_chemical_formula_sum 'Ti8 Fe2 Se16'
_space_group_name_H-M_alt 'C 1 2/m 1'
_space_group_IT_number 12
_cell_length_a 12.024
_cell_length_b 7.118
_cell_length_c 8.580
_cell_angle_alpha 90.00
_cell_angle_beta 134.16
_cell_angle_gamma 90.00
loop_
_space_group_symop_operation_xyz
'x,y,z'
'-x,-y,-z'
'-x,y,-z'
'x,-y,z'
'x+1/2,y+1/2,z'
'-x+1/2,-y+1/2,-z'
'-x+1/2,y+1/2,-z'
'x+1/2,-y+1/2,z'
loop_
_atom_site_label
_atom_site_type_symbol
_atom_site_fract_x
_atom_site_fract_y
_atom_site_fract_z
Ti1 Ti 0.000 0.238 0.000
Ti2 Ti 0.246 0.000 0.490
Fe1 Fe 0.000 0.500 0.500
Se1 Se 0.044 0.500 0.835
Se2 Se 0.047 0.000 0.831
Se3 Se 0.204 0.248 0.669
```